NiH2C2N4: simulated powder diffractogram (CuKα), based on DFT lattice parameters and positions (PBE).

Atomic structure:
```
18
Lattice="6.593 0.000 0.000 0.000 8.644 0.000 0.000 0.000 3.299" Properties=species:S:1:pos:R:3 pbc="T T T"
Ni 0.000 0.000 0.000
Ni 3.297 4.322 1.649
H 1.334 3.777 0.000
H 1.962 8.099 1.649
H 4.631 0.545 1.649
H 5.259 4.867 0.000
C 1.175 5.720 0.000
C 2.122 1.398 1.649
C 4.472 7.246 1.649
C 5.419 2.924 0.000
N 0.602 6.753 0.000
N 1.400 0.312 1.649
N 1.896 4.634 0.000
N 2.694 2.431 1.649
N 3.899 6.213 1.649
N 4.697 4.010 0.000
N 5.193 8.332 1.649
N 5.991 1.891 0.000
```

Most intense lines, 10° ≤ 2θ ≤ 90°, by angle:
2θ 16.91, intensity 100
2θ 20.55, intensity 20
2θ 28.98, intensity 12
2θ 30.30, intensity 42
2θ 32.06, intensity 11
2θ 33.95, intensity 16
2θ 40.05, intensity 42
2θ 50.34, intensity 9
2θ 52.49, intensity 10
2θ 54.47, intensity 13

Ca4SiSe6: simulated powder diffractogram (CuKα), based on DFT lattice parameters and positions (PBE).

Atomic structure:
```
22
Lattice="6.940 -3.794 0.000 6.940 3.794 0.000 -5.219 0.000 12.792" Properties=species:S:1:pos:R:3 pbc="T T T"
Ca 4.330 2.909 6.396
Ca 4.878 0.943 0.588
Ca 4.293 1.411 11.117
Ca 2.269 -0.943 6.984
Ca 9.946 1.348 2.792
Ca 6.903 -1.411 4.721
Ca 6.940 -2.909 0.000
Ca 7.337 -1.348 9.188
Si 6.500 2.095 3.515
Si 3.891 -2.095 9.911
Se 1.755 1.817 6.817
Se 4.243 2.278 3.145
Se 0.893 0.053 2.878
Se -1.716 -0.053 9.274
Se 1.615 2.068 11.695
Se 6.821 1.543 5.741
Se 7.267 0.232 2.349
Se 4.365 -1.817 0.421
Se 4.658 -0.232 8.745
Se 1.633 -2.278 9.541
Se 4.225 -2.068 5.299
Se 4.211 -1.543 12.137
```

Most intense lines, 10° ≤ 2θ ≤ 90°, by angle:
2θ 22.57, intensity 35
2θ 23.32, intensity 40
2θ 23.45, intensity 32
2θ 25.91, intensity 50
2θ 26.04, intensity 64
2θ 27.05, intensity 96
2θ 27.32, intensity 100
2θ 27.90, intensity 42
2θ 28.18, intensity 81
2θ 41.03, intensity 47